No. 1
For Ho2Tl3CrS6, a PBE-relaxed structure gives the computed XRD peak list in this record (Cu Kα).
Neutral-atom scattering factors, no anomalous dispersion.

Main lines, in order of rising 2θ (10 to 90 degrees two-theta):
two_theta, I/Imax, index
23.76, 33, 0 0 2
27.74, 61, 2 0 0
31.04, 100, 2 0 -2
41.94, 40, 2 0 2
46.89, 32, 3 3 -1
53.23, 24, 3 3 1

Structure:
```
data_Ho2Tl3CrS6
_chemical_formula_sum 'Ho4 Tl6 Cr2 S12'
_symmetry_space_group_name_H-M 'C 1 2/m 1'
_symmetry_Int_Tables_number 12
_symmetry_space_group_name_Hall '-C 2y'
_cell_length_a 6.7162
_cell_length_b 11.6189
_cell_length_c 7.8151
_cell_angle_alpha 90.00
_cell_angle_beta 106.57
_cell_angle_gamma 90.00
loop_
_atom_site_label
_atom_site_type_symbol
_atom_site_fract_x
_atom_site_fract_y
_atom_site_fract_z
Ho1 Ho 0.0000 0.1664 0.0000
Tl1 Tl 0.0000 0.0000 0.5000
Tl2 Tl 0.0000 0.3264 0.5000
Cr1 Cr 0.0000 0.5000 0.0000
S1 S 0.2154 0.3471 0.1871
S2 S 0.2419 0.5000 0.8048
```

=====

No. 2
For Ho3CrSe6, a PBE-relaxed structure gives the computed XRD peak list in this record (Cu Kα).
Neutral-atom scattering factors, no anomalous dispersion.

Main lines, in order of rising 2θ (10 to 90 degrees two-theta):
two_theta, I/Imax, index
19.13, 55, 0 0 3
24.42, 100, 3 -1 1
34.84, 80, 4 -1 2
35.06, 86, 3 -1 4
41.41, 65, 4 1 0
41.97, 35, 1 1 6

Structure:
```
data_Ho3CrSe6
_chemical_formula_sum 'Ho18 Cr6 Se36'
_symmetry_space_group_name_H-M 'R -3'
_symmetry_Int_Tables_number 148
_symmetry_space_group_name_Hall '-R 3'
_cell_length_a 11.5388
_cell_length_b 11.5388
_cell_length_c 13.9199
_cell_angle_alpha 90.00
_cell_angle_beta 90.00
_cell_angle_gamma 120.00
loop_
_atom_site_label
_atom_site_type_symbol
_atom_site_fract_x
_atom_site_fract_y
_atom_site_fract_z
Ho1 Ho 0.0529 0.7805 0.2017
Cr1 Cr 0.0000 0.0000 0.0000
Cr2 Cr 0.0000 0.0000 0.5000
Se1 Se 0.0170 0.8207 0.3989
Se2 Se 0.0330 0.8444 0.8871
```